Y2Be2FeSi2O10: calculated powder XRD pattern (Cu Kα (λ = 1.5418 Å)), based on a cell relaxed with PBE+U.
Lines closer than 0.1° are merged.

Most intense lines, 2θ = 10–80°, sorted by position:
hkl 1 0 0, 18.51°, I = 100
hkl 1 1 -2, 28.21°, I = 77
hkl 1 1 2, 28.43°, I = 82
hkl 0 1 3, 29.18°, I = 60
hkl 1 2 0, 30.09°, I = 93
hkl 1 2 -1, 31.36°, I = 79
hkl 1 2 1, 31.46°, I = 84
hkl 1 1 -3, 34.64°, I = 98
hkl 1 1 3, 34.92°, I = 81
hkl 2 1 -3, 48.03°, I = 56

```
data_Y2Be2FeSi2O10
_space_group_name_H-M_alt 'P 1 21/c 1'
_space_group_IT_number 14
_cell_length_a 4.792
_cell_length_b 7.568
_cell_length_c 10.041
_cell_angle_alpha 90.00
_cell_angle_beta 90.53
_cell_angle_gamma 90.00
loop_
_space_group_symop_operation_xyz
'x,y,z'
'-x,-y,-z'
'-x,y+1/2,-z+1/2'
'x,-y+1/2,z+1/2'
loop_
_atom_site_label
_atom_site_type_symbol
_atom_site_fract_x
_atom_site_fract_y
_atom_site_fract_z
_atom_site_occupancy
Y1 Y 0.001 0.106 0.171 1
Be1 Be 0.466 0.587 0.835 1
Fe1 Fe 0.000 0.000 0.500 1
Si1 Si 0.481 0.220 0.922 1
O1 O 0.202 0.088 0.668 1
O2 O 0.238 0.085 0.971 1
O3 O 0.309 0.652 0.696 1
O4 O 0.314 0.107 0.358 1
O5 O 0.324 0.713 0.951 1
```